Mn5Cr3O16: computed XRD peak list (CuKα), based on a DFT-relaxed cell (PBE+U, the Materials Project).
Peak positions follow from Bragg's law for the DFT cell and can differ from measured ones.

The 6 most intense peaks (5° ≤ 2θ ≤ 70°), in order of rising 2θ:
2θ = 20.0°, 4.443 Å, intensity 100, hkl 0 0 2
2θ = 20.2°, 4.392 Å, intensity 94, hkl 2 0 -1
2θ = 20.3°, 4.371 Å, intensity 87, hkl 1 1 1
2θ = 37.0°, 2.429 Å, intensity 64, hkl 4 0 -1
2θ = 37.1°, 2.421 Å, intensity 65, hkl 4 0 1
2θ = 64.0°, 1.455 Å, intensity 62, hkl 6 2 0

Atomic structure:
Cell: 10.0846 5.8086 8.8854 Å, 90.00 90.49 90.00°
Space group Cm (No. 8)
Inequivalent atoms, fractional coordinates:
Mn1 0.0000 0.0000 0.0000 (multiplicity 2)
Mn2 0.0043 0.5000 0.7678 (multiplicity 2)
Mn3 0.1654 0.5000 0.4985 (multiplicity 2)
Mn4 0.4193 0.2514 0.2706 (multiplicity 4)
Cr1 0.1704 0.0000 0.2809 (multiplicity 2)
Cr2 0.2530 0.2484 0.7781 (multiplicity 4)
O1 0.0724 0.2156 0.1425 (multiplicity 4)
O2 0.0951 0.2827 0.6405 (multiplicity 4)
O3 0.1609 0.0000 0.8732 (multiplicity 2)
O4 0.1635 0.5000 0.8846 (multiplicity 2)
O5 0.2475 0.2520 0.3766 (multiplicity 4)
O6 0.3070 0.5000 0.6439 (multiplicity 2)
O7 0.3367 0.0000 0.1653 (multiplicity 2)
O8 0.3370 0.0000 0.6654 (multiplicity 2)
O9 0.3549 0.5000 0.1404 (multiplicity 2)
O10 0.4162 0.2547 0.8770 (multiplicity 4)
O11 0.4969 0.5000 0.3825 (multiplicity 2)
O12 0.4993 0.0000 0.3815 (multiplicity 2)